Computed X-ray diffraction stick pattern
Compound: NaPa2MnS8
Radiation: Cu Kα, 1.54184 Å
Structure: the PBE geometry in Alexandria
No peak broadening, texture or thermal motion is included.

Most intense lines, 10 to 80 degrees two-theta, sorted by position:
- 2θ 10.49, d 8.431, I 100
- 2θ 20.16, d 4.405, I 61
- 2θ 27.31, d 3.266, I 34
- 2θ 29.96, d 2.983, I 48
- 2θ 31.83, d 2.811, I 31
- 2θ 36.38, d 2.469, I 73
- 2θ 40.98, d 2.203, I 37
- 2θ 47.82, d 1.902, I 33
- 2θ 53.20, d 1.722, I 20
- 2θ 57.47, d 1.603, I 18

Atomic structure:
```
data_NaPa2MnS8
_chemical_formula_sum 'Na1 Pa2 Mn1 S8'
_cell_length_a 5.9656
_cell_length_b 5.9656
_cell_length_c 8.4307
_cell_angle_alpha 90.00
_cell_angle_beta 90.00
_cell_angle_gamma 120.00
_symmetry_space_group_name_H-M 'P -3 m 1'
_symmetry_Int_Tables_number 164
_symmetry_space_group_name_Hall '-P 3 2"'
loop_
_atom_site_label
_atom_site_type_symbol
_atom_site_fract_x
_atom_site_fract_y
_atom_site_fract_z
Na1 Na 0.0000 0.0000 0.0000
Pa1 Pa 0.3333 0.6667 0.3737
Mn1 Mn 0.0000 0.0000 0.5000
S1 S 0.1737 0.3474 0.6646
S2 S 0.3333 0.6667 0.0880
```